(1)
Zr2CuIr4: simulated X-ray powder pattern (Cu Kα, 1.54184 Å), based on a crystal structure in Alexandria, relaxed with GGA-PBE.

The 8 most intense peaks (10 to 90 degrees two-theta), most intense first:
d [Å]	Position (°2θ)	I_rel
8.676	10.20	100
2.285	39.43	98
1.901	47.85	43
2.567	34.95	39
1.969	46.10	27
1.159	83.42	23
2.076	43.59	23
1.430	65.26	22

Cell and atoms:
Cell: 3.8020 3.8020 17.3520 Å, 90.00 90.00 90.00°
Atoms (fractional coordinates):
Zr1 0.0000 0.0000 0.1058
Zr2 0.0000 0.0000 0.8942
Zr3 0.5000 0.5000 0.3942
Zr4 0.5000 0.5000 0.6058
Cu1 0.0000 0.0000 0.5000
Cu2 0.5000 0.5000 0.0000
Ir1 0.0000 0.0000 0.3589
Ir2 0.0000 0.0000 0.6411
Ir3 0.0000 0.5000 0.2500
Ir4 0.0000 0.5000 0.7500
Ir5 0.5000 0.0000 0.2500
Ir6 0.5000 0.0000 0.7500
Ir7 0.5000 0.5000 0.1411
Ir8 0.5000 0.5000 0.8589

=====

(2)
La2HoRhO6: simulated X-ray powder pattern (Cu Kα, 1.54184 Å), based on a crystal structure in Alexandria, relaxed with GGA-PBE.

The 8 most intense peaks (10 to 90 degrees two-theta), most intense first:
d [Å]	Position (°2θ)	I_rel
2.932	30.49	100
2.888	30.97	97
2.866	31.21	46
2.974	30.04	44
2.064	43.87	40
1.651	55.68	32
2.051	44.15	25
1.675	54.79	22

Cell and atoms:
Cell: 5.7327 5.9487 9.9101 Å, 90.00 124.11 90.00°
Atoms (fractional coordinates):
La1 0.2313 0.0558 0.2491
La2 0.2313 0.4442 0.7491
La3 0.7687 0.5558 0.2509
La4 0.7687 0.9442 0.7509
Ho1 0.5000 0.0000 0.0000
Ho2 0.5000 0.5000 0.5000
Rh1 0.0000 0.0000 0.5000
Rh2 0.0000 0.5000 0.0000
O1 0.1314 0.2075 0.9422
O2 0.1314 0.2925 0.4422
O3 0.2353 0.6963 0.9424
O4 0.2353 0.8037 0.4424
O5 0.3519 0.0417 0.7399
O6 0.3519 0.4583 0.2399
O7 0.6481 0.5417 0.7601
O8 0.6481 0.9583 0.2601
O9 0.7647 0.1963 0.5576
O10 0.7647 0.3037 0.0576
O11 0.8686 0.7075 0.5578
O12 0.8686 0.7925 0.0578

=====

(3)
TbNdYZn: simulated X-ray powder pattern (Cu Kα, 1.54184 Å), based on a crystal structure in Alexandria, relaxed with GGA-PBE.

The 8 most intense peaks (10 to 90 degrees two-theta), most intense first:
d [Å]	Position (°2θ)	I_rel
2.781	32.18	100
2.548	35.23	47
1.512	61.31	31
3.332	26.76	23
1.801	50.68	17
1.919	47.38	14
1.660	55.36	12
2.917	30.65	12

Cell and atoms:
Cell: 3.6029 3.6029 8.7504 Å, 90.00 90.00 90.00°
Atoms (fractional coordinates):
Tb1 0.0000 0.0000 0.0000
Nd1 0.5000 0.5000 0.7039
Y1 0.0000 0.0000 0.4047
Zn1 0.5000 0.5000 0.2034

=====

(4)
CeMg6Cd: simulated X-ray powder pattern (Cu Kα, 1.54184 Å), based on a crystal structure in Alexandria, relaxed with GGA-PBE.

The 8 most intense peaks (10 to 90 degrees two-theta), most intense first:
d [Å]	Position (°2θ)	I_rel
2.467	36.42	100
6.089	14.55	72
2.612	34.34	58
3.901	22.79	52
5.081	17.45	52
2.822	31.71	45
2.540	35.33	38
1.888	48.21	32

Cell and atoms:
Cell: 5.0808 6.3691 12.1790 Å, 90.00 90.00 90.00°
Atoms (fractional coordinates):
Ce1 0.0000 0.0000 0.0000
Ce2 0.0000 0.5000 0.5000
Mg1 0.0000 0.2451 0.7427
Mg2 0.0000 0.2549 0.2427
Mg3 0.0000 0.7451 0.2427
Mg4 0.0000 0.7549 0.7427
Mg5 0.5000 0.0000 0.1609
Mg6 0.5000 0.0000 0.6199
Mg7 0.5000 0.2440 0.8879
Mg8 0.5000 0.2560 0.3879
Mg9 0.5000 0.5000 0.1199
Mg10 0.5000 0.5000 0.6609
Mg11 0.5000 0.7440 0.3879
Mg12 0.5000 0.7560 0.8879
Cd1 0.0000 0.0000 0.4584
Cd2 0.0000 0.5000 0.9584

=====

(5)
Pr9Tc2I14: simulated X-ray powder pattern (Cu Kα, 1.54184 Å), based on a crystal structure in Alexandria, relaxed with GGA-PBE.

The 8 most intense peaks (10 to 90 degrees two-theta), most intense first:
d [Å]	Position (°2θ)	I_rel
2.651	33.81	100
2.997	29.82	83
2.718	32.96	76
4.420	20.09	60
3.082	28.97	40
2.500	35.92	38
3.794	23.45	37
6.882	12.86	33

Cell and atoms:
Cell: 9.4152 9.4152 12.8315 Å, 90.00 90.00 120.00°
Atoms (fractional coordinates):
Pr1 0.0000 0.0000 0.0000
Pr2 0.0982 0.3853 0.3369
Pr3 0.2871 0.9018 0.3369
Pr4 0.3333 0.6667 0.0621
Pr5 0.3853 0.2871 0.6631
Pr6 0.6147 0.7129 0.3369
Pr7 0.6667 0.3333 0.9379
Pr8 0.7129 0.0982 0.6631
Pr9 0.9018 0.6147 0.6631
Tc1 0.3333 0.6667 0.2686
Tc2 0.6667 0.3333 0.7314
I1 0.0000 0.0000 0.2587
I2 0.0000 0.0000 0.7413
I3 0.0491 0.6855 0.9071
I4 0.0887 0.4009 0.5973
I5 0.3122 0.9113 0.5973
I6 0.3145 0.3636 0.9071
I7 0.3636 0.0491 0.0929
I8 0.4009 0.3122 0.4027
I9 0.5991 0.6878 0.5973
I10 0.6364 0.9509 0.9071
I11 0.6855 0.6364 0.0929
I12 0.6878 0.0887 0.4027
I13 0.9113 0.5991 0.4027
I14 0.9509 0.3145 0.0929